1.
This entry pairs a crystal structure of Y2Zn5Ru5 with its simulated X-ray powder pattern. Radiation: CuKα. Structure: a crystal structure in Alexandria, relaxed with GGA-PBE.

Structural model:
```
Y2Zn5Ru5
1.0
4.209 0.000 0.000
0.000 5.185 0.000
0.000 0.000 9.304
Y Zn Ru
2 5 5
Cartesian
0.000 0.000 0.000 Y
0.000 2.593 4.652 Y
0.000 0.000 3.075 Zn
0.000 0.000 6.229 Zn
0.000 2.593 1.546 Zn
0.000 2.593 7.758 Zn
2.104 0.000 4.652 Zn
2.104 1.273 2.328 Ru
2.104 1.273 6.976 Ru
2.104 2.593 0.000 Ru
2.104 3.912 2.328 Ru
2.104 3.912 6.976 Ru
```

Most intense lines, 2θ = 15–90°, by intensity:
2θ 40.08, rel. 100
2θ 40.88, rel. 57
2θ 42.98, rel. 55
2θ 45.48, rel. 51
2θ 39.81, rel. 48
2θ 60.01, rel. 28
2θ 86.54, rel. 28
2θ 28.96, rel. 27

2.
This entry pairs a crystal structure of SrAcGePb with its simulated X-ray powder pattern. Radiation: CuKα. Structure: a crystal structure in Alexandria, relaxed with GGA-PBE.

Structural model:
```
SrAcGePb
1.0
4.412 0.000 0.000
0.000 2.471 6.136
0.000 -2.471 6.136
Sr Ac Ge Pb
1 1 1 1
Cartesian
0.000 0.000 0.000 Sr
2.206 0.000 3.408 Ac
0.000 0.000 8.934 Ge
2.206 0.000 6.928 Pb
```

Most intense lines, 2θ = 15–90°, by intensity:
2θ 28.07, rel. 100
2θ 34.99, rel. 87
2θ 28.32, rel. 44
2θ 36.36, rel. 32
2θ 29.11, rel. 32
2θ 35.64, rel. 29
2θ 20.12, rel. 27
2θ 40.90, rel. 23

3.
This entry pairs a crystal structure of YPd6Au23 with its simulated X-ray powder pattern. Radiation: CuKα. Structure: a crystal structure in Alexandria, relaxed with GGA-PBE.

Structural model:
```
YPd6Au23
1.0
-4.078 4.078 8.281
4.078 -4.078 8.281
4.078 4.078 -8.281
Y Pd Au
1 6 23
Cartesian
0.000 0.000 0.000 Y
0.000 0.000 4.111 Pd
2.031 2.031 0.000 Pd
2.047 -2.047 8.281 Pd
-2.047 2.047 8.281 Pd
2.047 2.047 8.281 Pd
0.000 0.000 12.452 Pd
2.039 2.039 -4.141 Au
2.039 -2.039 4.141 Au
4.078 0.000 0.000 Au
4.078 2.047 -2.094 Au
4.078 -1.983 6.146 Au
2.095 0.000 2.136 Au
6.062 0.000 2.136 Au
2.047 4.078 -2.094 Au
2.031 0.000 6.187 Au
4.078 2.047 2.094 Au
0.000 2.095 2.136 Au
-2.039 2.039 4.141 Au
0.000 4.078 0.000 Au
0.000 0.000 8.281 Au
2.039 2.039 4.141 Au
4.078 1.983 6.146 Au
0.000 2.031 6.187 Au
2.047 4.078 2.094 Au
2.031 0.000 10.376 Au
-1.983 4.078 6.146 Au
1.983 4.078 6.146 Au
0.000 6.062 2.136 Au
0.000 2.031 10.376 Au
```

Most intense lines, 2θ = 15–90°, by intensity:
2θ 38.03, rel. 100
2θ 44.43, rel. 32
2θ 77.53, rel. 26
2θ 64.10, rel. 22
2θ 43.72, rel. 17
2θ 76.52, rel. 13
2θ 81.32, rel. 11
2θ 64.65, rel. 11